1.
The following is a theoretical powder diffractogram of GePClO2. It was derived from a structure optimized by DFT (PBE), using Cu Kα (λ = 1.5418 Å).
No peak broadening, texture or thermal motion is included.

Atomic structure:
Unit cell a=8.8180 b=5.3455 c=10.5650 alpha=90.00 beta=90.00 gamma=90.00
Atoms (fractional coordinates):
Ge 0.0755 0.2500 0.1496
Ge 0.4245 0.7500 0.6496
Ge 0.5755 0.2500 0.3504
Ge 0.9245 0.7500 0.8504
P 0.0068 0.7500 0.3544
P 0.4932 0.2500 0.8544
P 0.5068 0.7500 0.1456
P 0.9932 0.2500 0.6456
Cl 0.1550 0.7500 0.9568
Cl 0.3450 0.2500 0.4568
Cl 0.6550 0.7500 0.5432
Cl 0.8450 0.2500 0.0432
O 0.0059 0.5110 0.2747
O 0.0059 0.9890 0.2747
O 0.4941 0.0110 0.7747
O 0.4941 0.4890 0.7747
O 0.5059 0.5110 0.2253
O 0.5059 0.9890 0.2253
O 0.9941 0.0110 0.7253
O 0.9941 0.4890 0.7253

Peak list (10 most intense, 10 to 90 degrees two-theta, in order of falling intensity)
| Position (°2θ) | I (rel.) |
| --- | --- |
| 25.8 | 100.0 |
| 20.1 | 39.8 |
| 13.1 | 25.4 |
| 26.3 | 18.8 |
| 18.6 | 17.4 |
| 32.1 | 14.8 |
| 43.5 | 13.5 |
| 21.8 | 13.3 |
| 33.5 | 13.1 |
| 31.3 | 11.6 |


2.
The following is a theoretical powder diffractogram of PaGeClO4. It was derived from a structure optimized by DFT (PBE), using Cu Kα (λ = 1.5418 Å).
No peak broadening, texture or thermal motion is included.

Atomic structure:
Unit cell a=6.1642 b=6.1642 c=6.8441 alpha=104.14 beta=104.14 gamma=68.98
Atoms (fractional coordinates):
Pa 0.2417 0.2417 0.1426
Pa 0.7583 0.7583 0.8574
Ge 0.3618 0.3618 0.7276
Ge 0.6382 0.6382 0.2724
Cl 0.0137 0.0137 0.7750
Cl 0.9863 0.9863 0.2250
O 0.1075 0.4897 0.8495
O 0.2879 0.2879 0.4622
O 0.4581 0.4581 0.2097
O 0.4897 0.1075 0.8495
O 0.5103 0.8925 0.1505
O 0.5419 0.5419 0.7903
O 0.7121 0.7121 0.5378
O 0.8925 0.5103 0.1505

Peak list (10 most intense, 10 to 90 degrees two-theta, in order of falling intensity)
| Position (°2θ) | I (rel.) |
| --- | --- |
| 25.5 | 100.0 |
| 18.3 | 94.2 |
| 29.1 | 81.9 |
| 13.5 | 73.2 |
| 29.8 | 64.2 |
| 18.9 | 56.7 |
| 35.2 | 49.5 |
| 25.9 | 39.2 |
| 47.2 | 35.8 |
| 31.6 | 31.3 |


3.
The following is a theoretical powder diffractogram of Ge19P4Cl4. It was derived from a structure optimized by DFT (PBE), using Cu Kα (λ = 1.5418 Å).
No peak broadening, texture or thermal motion is included.

Atomic structure:
Unit cell a=10.4988 b=10.4988 c=10.4988 alpha=90.00 beta=90.00 gamma=90.00
Atoms (fractional coordinates):
Ge 0.0000 0.2500 0.5000
Ge 0.0000 0.7500 0.5000
Ge 0.0021 0.1182 0.3072
Ge 0.0021 0.8818 0.6928
Ge 0.1182 0.3072 0.0021
Ge 0.1182 0.6928 0.9979
Ge 0.1849 0.1849 0.8151
Ge 0.1849 0.8151 0.1849
Ge 0.1928 0.3818 0.5021
Ge 0.1928 0.6182 0.4979
Ge 0.2500 0.5000 0.0000
Ge 0.3072 0.0021 0.1182
Ge 0.3072 0.9979 0.8818
Ge 0.3151 0.3151 0.3151
Ge 0.3151 0.6849 0.6849
Ge 0.3818 0.4979 0.8072
Ge 0.3818 0.5021 0.1928
Ge 0.4979 0.1928 0.6182
Ge 0.4979 0.8072 0.3818
Ge 0.5000 0.0000 0.2500
Ge 0.5000 0.0000 0.7500
Ge 0.5021 0.1928 0.3818
Ge 0.5021 0.8072 0.6182
Ge 0.6182 0.4979 0.1928
Ge 0.6182 0.5021 0.8072
Ge 0.6849 0.3151 0.6849
Ge 0.6849 0.6849 0.3151
Ge 0.6928 0.0021 0.8818
Ge 0.6928 0.9979 0.1182
Ge 0.7500 0.5000 0.0000
Ge 0.8072 0.3818 0.4979
Ge 0.8072 0.6182 0.5021
Ge 0.8151 0.1849 0.1849
Ge 0.8151 0.8151 0.8151
Ge 0.8818 0.3072 0.9979
Ge 0.8818 0.6928 0.0021
Ge 0.9979 0.1182 0.6928
Ge 0.9979 0.8818 0.3072
P 0.1841 0.1841 0.1841
P 0.1841 0.8159 0.8159
P 0.3159 0.3159 0.6841
P 0.3159 0.6841 0.3159
P 0.6841 0.3159 0.3159
P 0.6841 0.6841 0.6841
P 0.8159 0.1841 0.8159
P 0.8159 0.8159 0.1841
Cl 0.0000 0.0000 0.0000
Cl 0.0000 0.5000 0.2500
Cl 0.0000 0.5000 0.7500
Cl 0.2500 0.0000 0.5000
Cl 0.5000 0.2500 0.0000
Cl 0.5000 0.5000 0.5000
Cl 0.5000 0.7500 0.0000
Cl 0.7500 0.0000 0.5000

Peak list (10 most intense, 10 to 90 degrees two-theta, in order of falling intensity)
| Position (°2θ) | I (rel.) |
| --- | --- |
| 31.9 | 100.0 |
| 50.7 | 69.9 |
| 53.8 | 47.3 |
| 18.9 | 45.7 |
| 30.7 | 41.5 |
| 35.2 | 35.8 |
| 29.5 | 35.1 |
| 20.7 | 32.1 |
| 51.5 | 30.7 |
| 52.3 | 25.3 |